Record 1
Calculated powder diffractogram
Compound: SrCaTbFeO6
Radiation: λ = 1.5418 Å (Cu Kα)
Structure: a structure optimized by DFT (PBE+U)
No peak broadening, texture or thermal motion is included.

The 10 most intense peaks (15 to 90 degrees two-theta), in order of rising 2θ:
2θ 19.0, d = 4.682 Å, rel. 20.0
2θ 21.9, d = 4.055 Å, rel. 18.3
2θ 31.2, d = 2.867 Å, rel. 100.0
2θ 36.8, d = 2.445 Å, rel. 16.2
2θ 44.7, d = 2.027 Å, rel. 34.8
2θ 49.0, d = 1.860 Å, rel. 9.2
2θ 50.3, d = 1.813 Å, rel. 6.8
2θ 55.5, d = 1.655 Å, rel. 38.2
2θ 65.1, d = 1.434 Å, rel. 20.3
2θ 73.9, d = 1.282 Å, rel. 17.2

Structural model:
```
data_SrCaTbFeO6
_chemical_formula_sum 'Sr4 Ca4 Tb4 Fe4 O24'
_cell_length_a 8.109
_cell_length_b 8.109
_cell_length_c 8.109
_cell_angle_alpha 90.00
_cell_angle_beta 90.00
_cell_angle_gamma 90.00
_symmetry_space_group_name_H-M 'F -4 3 m'
_symmetry_Int_Tables_number 216
_symmetry_space_group_name_Hall 'F -4 2 3'
loop_
_atom_site_label
_atom_site_type_symbol
_atom_site_fract_x
_atom_site_fract_y
_atom_site_fract_z
Sr1 Sr 0.000 0.000 0.000
Ca1 Ca 0.000 0.000 0.500
Tb1 Tb 0.250 0.250 0.250
Fe1 Fe 0.250 0.250 0.750
O1 O 0.019 0.250 0.750
```



Record 2
Calculated powder diffractogram
Compound: Li9Mn2Co5O16
Radiation: λ = 1.5418 Å (Cu Kα)
Structure: a structure optimized by DFT (PBE+U)
No peak broadening, texture or thermal motion is included.

The 10 most intense peaks (15 to 90 degrees two-theta), in order of rising 2θ:
2θ 18.3, d = 4.839 Å, rel. 100.0
2θ 35.1, d = 2.557 Å, rel. 16.1
2θ 36.3, d = 2.476 Å, rel. 24.9
2θ 42.4, d = 2.134 Å, rel. 27.6
2θ 44.0, d = 2.056 Å, rel. 53.1
2θ 47.4, d = 1.916 Å, rel. 8.8
2θ 58.0, d = 1.590 Å, rel. 9.7
2θ 62.7, d = 1.482 Å, rel. 14.1
2θ 62.8, d = 1.479 Å, rel. 13.9
2θ 64.6, d = 1.443 Å, rel. 7.2

Structural model:
```
data_Li9Mn2Co5O16
_chemical_formula_sum 'Li9 Mn2 Co5 O16'
_cell_length_a 5.861
_cell_length_b 2.886
_cell_length_c 17.073
_cell_angle_alpha 90.00
_cell_angle_beta 90.19
_cell_angle_gamma 90.00
_symmetry_space_group_name_H-M 'P 1 m 1'
_symmetry_Int_Tables_number 6
loop_
_symmetry_equiv_pos_as_xyz
'x,y,z'
'x,-y,z'
loop_
_atom_site_label
_atom_site_type_symbol
_atom_site_fract_x
_atom_site_fract_y
_atom_site_fract_z
Li1 Li 0.000 0.000 0.000
Li2 Li 0.000 0.000 0.489
Li3 Li 0.245 0.500 0.114
Li4 Li 0.253 0.500 0.613
Li5 Li 0.504 0.000 0.743
Li6 Li 0.510 0.000 0.231
Li7 Li 0.750 0.500 0.874
Li8 Li 0.755 0.500 0.363
Li9 Li 0.763 0.500 0.114
Mn1 Mn 0.005 0.000 0.743
Mn2 Mn 0.999 0.000 0.234
Co1 Co 0.251 0.500 0.364
Co2 Co 0.257 0.500 0.874
Co3 Co 0.504 0.000 0.486
Co4 Co 0.511 0.000 0.007
Co5 Co 0.753 0.500 0.612
O1 O 0.006 0.000 0.127
O2 O 0.018 0.000 0.357
O3 O 0.035 0.000 0.867
O4 O 0.230 0.500 0.243
O5 O 0.233 0.500 0.741
O6 O 0.264 0.500 0.485
O7 O 0.274 0.500 0.991
O8 O 0.476 0.000 0.870
O9 O 0.487 0.000 0.367
O10 O 0.503 0.000 0.111
O11 O 0.528 0.000 0.611
O12 O 0.734 0.500 0.990
O13 O 0.737 0.500 0.489
O14 O 0.774 0.500 0.744
O15 O 0.778 0.500 0.240
O16 O 0.978 0.000 0.617
```



Record 3
Calculated powder diffractogram
Compound: CoP2O7
Radiation: λ = 1.5418 Å (Cu Kα)
Structure: a structure optimized by DFT (PBE+U)
No peak broadening, texture or thermal motion is included.

The 10 most intense peaks (15 to 90 degrees two-theta), in order of rising 2θ:
2θ 22.1, d = 4.018 Å, rel. 67.8
2θ 22.4, d = 3.961 Å, rel. 100.0
2θ 23.0, d = 3.861 Å, rel. 97.7
2θ 31.3, d = 2.860 Å, rel. 36.1
2θ 32.1, d = 2.786 Å, rel. 18.7
2θ 32.5, d = 2.754 Å, rel. 18.3
2θ 34.8, d = 2.575 Å, rel. 25.0
2θ 35.6, d = 2.521 Å, rel. 12.8
2θ 38.6, d = 2.330 Å, rel. 16.3
2θ 56.0, d = 1.641 Å, rel. 11.6

Structural model:
```
data_CoP2O7
_chemical_formula_sum 'Co2 P4 O14'
_cell_length_a 5.155
_cell_length_b 6.758
_cell_length_c 8.278
_cell_angle_alpha 68.95
_cell_angle_beta 87.89
_cell_angle_gamma 88.46
_symmetry_space_group_name_H-M 'P -1'
_symmetry_Int_Tables_number 2
loop_
_symmetry_equiv_pos_as_xyz
'x,y,z'
'-x,-y,-z'
loop_
_atom_site_label
_atom_site_type_symbol
_atom_site_fract_x
_atom_site_fract_y
_atom_site_fract_z
Co1 Co 0.241 0.215 0.229
P1 P 0.244 0.108 0.667
P2 P 0.281 0.455 0.810
O1 O 0.035 0.952 0.267
O2 O 0.086 0.637 0.743
O3 O 0.195 0.287 0.982
O4 O 0.281 0.129 0.479
O5 O 0.289 0.343 0.667
O6 O 0.443 0.469 0.190
O7 O 0.444 0.960 0.784
```



Record 4
Calculated powder diffractogram
Compound: La2WO6
Radiation: λ = 1.5418 Å (Cu Kα)
Structure: a structure optimized by DFT (PBE+U)
No peak broadening, texture or thermal motion is included.

The 10 most intense peaks (15 to 90 degrees two-theta), in order of rising 2θ:
2θ 19.3, d = 4.592 Å, rel. 22.1
2θ 24.7, d = 3.611 Å, rel. 28.4
2θ 25.2, d = 3.532 Å, rel. 53.2
2θ 26.1, d = 3.414 Å, rel. 100.0
2θ 31.7, d = 2.820 Å, rel. 65.0
2θ 32.4, d = 2.763 Å, rel. 31.2
2θ 32.9, d = 2.719 Å, rel. 26.7
2θ 44.3, d = 2.046 Å, rel. 22.8
2θ 46.9, d = 1.938 Å, rel. 22.6
2θ 51.4, d = 1.778 Å, rel. 24.3

Structural model:
```
data_La2WO6
_chemical_formula_sum 'La8 W4 O24'
_cell_length_a 5.527
_cell_length_b 9.542
_cell_length_c 10.476
_cell_angle_alpha 90.00
_cell_angle_beta 90.00
_cell_angle_gamma 90.00
_symmetry_space_group_name_H-M 'P 21 21 21'
_symmetry_Int_Tables_number 19
loop_
_symmetry_equiv_pos_as_xyz
'x,y,z'
'-x+1/2,-y,z+1/2'
'x+1/2,-y+1/2,-z'
'-x,y+1/2,-z+1/2'
loop_
_atom_site_label
_atom_site_type_symbol
_atom_site_fract_x
_atom_site_fract_y
_atom_site_fract_z
La1 La 0.023 0.105 0.464
La2 La 0.032 0.219 0.867
W1 W 0.040 0.497 0.350
O1 O 0.076 0.850 0.032
O2 O 0.167 0.952 0.289
O3 O 0.187 0.635 0.240
O4 O 0.196 0.634 0.821
O5 O 0.221 0.111 0.069
O6 O 0.245 0.588 0.488
```



Record 5
Calculated powder diffractogram
Compound: NaLiVO2F2
Radiation: λ = 1.5418 Å (Cu Kα)
Structure: a structure optimized by DFT (PBE+U)
No peak broadening, texture or thermal motion is included.

The 10 most intense peaks (15 to 90 degrees two-theta), in order of rising 2θ:
2θ 15.1, d = 5.864 Å, rel. 53.2
2θ 26.6, d = 3.348 Å, rel. 64.3
2θ 27.0, d = 3.306 Å, rel. 100.0
2θ 27.5, d = 3.244 Å, rel. 99.6
2θ 28.5, d = 3.129 Å, rel. 60.1
2θ 41.0, d = 2.204 Å, rel. 54.9
2θ 43.4, d = 2.086 Å, rel. 61.9
2θ 46.7, d = 1.947 Å, rel. 78.5
2θ 47.6, d = 1.910 Å, rel. 49.4
2θ 58.7, d = 1.574 Å, rel. 39.6

Structural model:
```
data_NaLiVO2F2
_chemical_formula_sum 'Na2 Li2 V2 O4 F4'
_cell_length_a 6.698
_cell_length_b 3.894
_cell_length_c 7.049
_cell_angle_alpha 90.00
_cell_angle_beta 117.41
_cell_angle_gamma 90.00
_symmetry_space_group_name_H-M 'P 1 21/m 1'
_symmetry_Int_Tables_number 11
loop_
_symmetry_equiv_pos_as_xyz
'x,y,z'
'-x,-y,-z'
'-x,y+1/2,-z'
'x,-y+1/2,z'
loop_
_atom_site_label
_atom_site_type_symbol
_atom_site_fract_x
_atom_site_fract_y
_atom_site_fract_z
Na1 Na 0.021 0.250 0.191
Li1 Li 0.347 0.750 0.459
V1 V 0.425 0.250 0.810
O1 O 0.347 0.250 0.536
O2 O 0.442 0.750 0.869
F1 F 0.112 0.250 0.758
F2 F 0.248 0.750 0.154
```